1.
K2Na6V5Mo3O24: simulated powder XRD pattern (a wavelength of 1.5418 Å), based on a structure optimized by DFT (PBE+U).
Intensities are scaled so that the largest is 100.

Main lines, sorted by position (2θ from 5° to 70°):
- 2θ 11.4, rel. 9
- 2θ 23.0, rel. 66
- 2θ 25.7, rel. 11
- 2θ 32.7, rel. 100
- 2θ 34.7, rel. 5
- 2θ 46.9, rel. 55
- 2θ 48.4, rel. 4
- 2θ 52.8, rel. 23
- 2θ 58.3, rel. 36
- 2θ 68.5, rel. 29

Atomic structure:
Lattice parameters (Å, degrees): 7.746 7.747 7.750 90.00 90.04 90.00
Sites, in units of the cell vectors:
K (0.241, 0.000, 0.252)
K (0.759, 0.000, 0.748)
Na (0.234, 0.505, 0.254)
Na (0.234, 0.505, 0.746)
Na (0.234, 0.998, 0.746)
Na (0.766, 0.505, 0.254)
Na (0.766, 0.505, 0.746)
Na (0.766, 0.998, 0.254)
V (0.000, 0.252, 0.000)
V (0.000, 0.255, 0.500)
V (0.000, 0.747, 0.000)
V (0.000, 0.751, 0.500)
V (0.500, 0.750, 0.500)
Mo (0.500, 0.253, 0.000)
Mo (0.500, 0.254, 0.500)
Mo (0.500, 0.750, 0.000)
O (0.000, 0.009, 0.000)
O (0.000, 0.499, 0.000)
O (0.000, 0.502, 0.500)
O (0.000, 0.999, 0.500)
O (0.002, 0.747, 0.745)
O (0.003, 0.257, 0.758)
O (0.251, 0.748, 0.999)
O (0.252, 0.256, 0.502)
O (0.254, 0.255, 0.999)
O (0.255, 0.747, 0.502)
O (0.499, 0.748, 0.755)
O (0.500, 0.003, 0.000)
O (0.500, 0.007, 0.500)
O (0.500, 0.255, 0.248)
O (0.500, 0.255, 0.752)
O (0.500, 0.498, 0.500)
O (0.500, 0.500, 0.000)
O (0.501, 0.748, 0.245)
O (0.745, 0.747, 0.498)
O (0.746, 0.255, 0.001)
O (0.748, 0.256, 0.498)
O (0.749, 0.748, 0.001)
O (0.997, 0.257, 0.242)
O (0.998, 0.747, 0.255)


2.
KNa3V2Mo2O12: simulated powder XRD pattern (a wavelength of 1.5418 Å), based on a structure optimized by DFT (PBE+U).
Intensities are scaled so that the largest is 100.

Main lines, sorted by position (2θ from 5° to 70°):
- 2θ 22.7, rel. 28
- 2θ 22.8, rel. 56
- 2θ 32.4, rel. 100
- 2θ 32.5, rel. 20
- 2θ 46.3, rel. 20
- 2θ 46.6, rel. 41
- 2θ 52.4, rel. 15
- 2θ 57.7, rel. 14
- 2θ 57.9, rel. 28
- 2θ 67.8, rel. 22

Atomic structure:
Lattice parameters (Å, degrees): 7.796 7.796 7.847 90.00 90.00 90.10
Sites, in units of the cell vectors:
K (0.246, 0.246, 0.000)
K (0.754, 0.754, 0.000)
Na (0.237, 0.763, 0.988)
Na (0.238, 0.238, 0.525)
Na (0.238, 0.762, 0.525)
Na (0.762, 0.238, 0.525)
Na (0.762, 0.762, 0.525)
Na (0.763, 0.237, 0.988)
V (0.000, 0.000, 0.279)
V (0.000, 0.000, 0.772)
V (0.000, 0.500, 0.754)
V (0.500, 0.000, 0.754)
Mo (0.000, 0.500, 0.258)
Mo (0.500, 0.000, 0.258)
Mo (0.500, 0.500, 0.257)
Mo (0.500, 0.500, 0.753)
O (0.000, 0.000, 0.502)
O (0.000, 0.000, 0.994)
O (0.000, 0.500, 0.013)
O (0.000, 0.500, 0.498)
O (0.002, 0.748, 0.257)
O (0.003, 0.740, 0.749)
O (0.252, 0.998, 0.257)
O (0.254, 0.500, 0.258)
O (0.256, 0.501, 0.753)
O (0.260, 0.997, 0.749)
O (0.499, 0.744, 0.753)
O (0.500, 0.000, 0.013)
O (0.500, 0.000, 0.498)
O (0.500, 0.254, 0.258)
O (0.500, 0.500, 0.011)
O (0.500, 0.500, 0.501)
O (0.500, 0.746, 0.258)
O (0.501, 0.256, 0.753)
O (0.740, 0.003, 0.749)
O (0.744, 0.499, 0.753)
O (0.746, 0.500, 0.258)
O (0.748, 0.002, 0.257)
O (0.997, 0.260, 0.749)
O (0.998, 0.252, 0.257)


Which formula does entry 1 have? K2Na6V5Mo3O24